# 1
Starting from DFT lattice parameters and positions (GGA-PBE), the powder XRD pattern of NdDy3Th4 was calculated for Cu Ka.
Neutral-atom scattering factors, no anomalous dispersion.

Atomic structure:
Cell lengths 19.1198, 3.4510, 9.3859 Å; angles 90.00, 119.18, 90.00 degrees
Space group C2/m (No. 12)
Symmetry-distinct sites (fractional):
Nd: 0.0000 0.0000 0.0000 [2 per cell]
Dy: 0.0000 0.5000 0.5000 [2 per cell]
Dy: 0.1829 0.5000 0.1817 [4 per cell]
Th: 0.1495 0.0000 0.8394 [4 per cell]
Th: 0.1525 0.0000 0.4633 [4 per cell]

Most intense lines, 10° ≤ 2θ ≤ 90°, low angle first:
two_theta, I_rel
29.04, 37
29.58, 80
32.17, 70
32.65, 43
32.79, 48
32.90, 45
35.07, 48
36.12, 100

---

# 2
Starting from DFT lattice parameters and positions (GGA-PBE), the powder XRD pattern of NdDy4Th4 was calculated for Cu Ka.
Neutral-atom scattering factors, no anomalous dispersion.

Atomic structure:
Cell lengths 10.7141, 10.7141, 5.0540 Å; angles 90.00, 90.00, 90.00 degrees
Space group I4/mmm (No. 139)
Symmetry-distinct sites (fractional):
Nd: 0.0000 0.0000 0.0000 [2 per cell]
Dy: 0.1700 0.1700 0.5000 [8 per cell]
Th: 0.0000 0.3364 0.0000 [8 per cell]

Most intense lines, 10° ≤ 2θ ≤ 90°, low angle first:
two_theta, I_rel
30.65, 100
35.54, 51
51.14, 37
60.81, 44
63.83, 13
75.24, 6
83.39, 18
86.07, 17

---

# 3
Starting from DFT lattice parameters and positions (GGA-PBE), the powder XRD pattern of Nd12Dy6Th was calculated for Cu Ka.
Neutral-atom scattering factors, no anomalous dispersion.

Atomic structure:
Cell lengths 13.3547, 13.3547, 12.9105 Å; angles 90.00, 90.00, 120.00 degrees
Space group R-3m (No. 166, hexagonal axes)
Symmetry-distinct sites (fractional):
Nd: 0.0000 0.2624 0.0000 [18 per cell]
Nd: 0.0572 0.5286 0.1130 [18 per cell]
Dy: 0.0878 0.1755 0.7724 [18 per cell]
Th: 0.0000 0.0000 0.0000 [3 per cell]

Most intense lines, 10° ≤ 2θ ≤ 90°, low angle first:
two_theta, I_rel
28.71, 27
31.14, 100
31.72, 67
33.97, 18
48.43, 27
56.14, 26
57.62, 20
60.46, 13

---

# 4
Starting from DFT lattice parameters and positions (GGA-PBE), the powder XRD pattern of NdDy7Th3 was calculated for Cu Ka.
Neutral-atom scattering factors, no anomalous dispersion.

Atomic structure:
Cell lengths 6.4508, 6.7002, 8.6670 Å; angles 101.20, 97.21, 96.64 degrees
Space group P-1 (No. 2)
Symmetry-distinct sites (fractional):
Nd: 0.0000 0.0000 0.0000 [1 per cell]
Dy: 0.0000 0.5000 0.0000 [1 per cell]
Dy: 0.0708 0.2153 0.6428 [2 per cell]
Dy: 0.2089 0.7305 0.7048 [2 per cell]
Dy: 0.4922 0.2328 0.9239 [2 per cell]
Th: 0.3232 0.4491 0.3370 [2 per cell]
Th: 0.5000 0.0000 0.5000 [1 per cell]

Most intense lines, 10° ≤ 2θ ≤ 90°, low angle first:
two_theta, I_rel
31.00, 22
31.67, 26
31.82, 62
31.96, 100
32.21, 67
32.73, 58
33.42, 38
33.85, 28

---

# 5
Starting from DFT lattice parameters and positions (GGA-PBE), the powder XRD pattern of Nd2Dy2Th15 was calculated for Cu Ka.
Neutral-atom scattering factors, no anomalous dispersion.

Atomic structure:
Cell lengths 11.5218, 11.5218, 17.1365 Å; angles 90.00, 90.00, 120.00 degrees
Space group R-3m (No. 166, hexagonal axes)
Symmetry-distinct sites (fractional):
Nd: 0.0000 0.0000 0.1585 [6 per cell]
Dy: 0.0000 0.0000 0.3992 [6 per cell]
Th: 0.0000 0.3035 0.5000 [18 per cell]
Th: 0.0000 0.5000 0.0000 [9 per cell]
Th: 0.0131 0.5066 0.6616 [18 per cell]

Most intense lines, 10° ≤ 2θ ≤ 90°, low angle first:
two_theta, I_rel
15.38, 20
31.09, 100
31.32, 29
34.88, 68
35.07, 19
55.23, 19
55.62, 23
64.88, 16

---

# 6
Starting from DFT lattice parameters and positions (GGA-PBE), the powder XRD pattern of Nd3DyTh2 was calculated for Cu Ka.
Neutral-atom scattering factors, no anomalous dispersion.

Atomic structure:
Cell lengths 5.1158, 15.2860, 5.1516 Å; angles 90.00, 90.00, 90.00 degrees
Space group Cmmm (No. 65)
Symmetry-distinct sites (fractional):
Nd: 0.0000 0.0000 0.0000 [2 per cell]
Nd: 0.0000 0.1689 0.5000 [4 per cell]
Dy: 0.0000 0.5000 0.5000 [2 per cell]
Th: 0.0000 0.3323 0.0000 [4 per cell]

Most intense lines, 10° ≤ 2θ ≤ 90°, low angle first:
two_theta, I_rel
30.23, 100
34.83, 17
35.08, 17
35.23, 17
59.62, 15
59.96, 15
60.15, 14
62.87, 13

---

# 7
Starting from DFT lattice parameters and positions (GGA-PBE), the powder XRD pattern of Nd12Dy2Th was calculated for Cu Ka.
Neutral-atom scattering factors, no anomalous dispersion.

Atomic structure:
Cell lengths 7.1808, 11.6855, 25.1524 Å; angles 90.00, 90.00, 90.00 degrees
Space group Cmme (No. 67)
Symmetry-distinct sites (fractional):
Nd: 0.0000 0.0019 0.0739 [8 per cell]
Nd: 0.0000 0.0245 0.5599 [8 per cell]
Nd: 0.2312 0.2500 0.4142 [8 per cell]
Nd: 0.2487 0.2500 0.8736 [8 per cell]
Nd: 0.2500 0.0000 0.1999 [8 per cell]
Nd: 0.2500 0.0000 0.3250 [8 per cell]
Dy: 0.0000 0.2500 0.2667 [4 per cell]
Dy: 0.0000 0.2500 0.7288 [4 per cell]
Th: 0.0000 0.2500 0.9990 [4 per cell]

Most intense lines, 10° ≤ 2θ ≤ 90°, low angle first:
two_theta, I_rel
28.63, 37
29.18, 68
30.06, 82
30.60, 100
31.12, 32
32.33, 84
32.55, 70
36.36, 56

---

# 8
Starting from DFT lattice parameters and positions (GGA-PBE), the powder XRD pattern of Nd3DyTh2 was calculated for Cu Ka.
Neutral-atom scattering factors, no anomalous dispersion.

Atomic structure:
Cell lengths 10.2229, 3.6314, 10.8469 Å; angles 90.00, 90.35, 90.00 degrees
Space group P2_1/m (No. 11)
Symmetry-distinct sites (fractional):
Nd: 0.1235 0.2500 0.2499 [2 per cell]
Nd: 0.1382 0.2500 0.9164 [2 per cell]
Nd: 0.3670 0.7500 0.4163 [2 per cell]
Dy: 0.3750 0.7500 0.7496 [2 per cell]
Th: 0.1207 0.2500 0.5820 [2 per cell]
Th: 0.3845 0.7500 0.0815 [2 per cell]

Most intense lines, 10° ≤ 2θ ≤ 90°, low angle first:
two_theta, I_rel
30.19, 100
30.37, 33
35.05, 67
50.29, 24
50.53, 24
59.86, 24
60.02, 19
62.78, 12

---

# 9
Starting from DFT lattice parameters and positions (GGA-PBE), the powder XRD pattern of Nd5Dy2Th2 was calculated for Cu Ka.
Neutral-atom scattering factors, no anomalous dispersion.

Atomic structure:
Cell lengths 6.1563, 6.8674, 8.6275 Å; angles 78.57, 69.47, 64.46 degrees
Space group P-1 (No. 2)
Symmetry-distinct sites (fractional):
Nd: 0.0000 0.0000 0.0000 [1 per cell]
Nd: 0.3940 0.6837 0.6549 [2 per cell]
Nd: 0.4937 0.8676 0.2370 [2 per cell]
Dy: 0.1889 0.4286 0.1259 [2 per cell]
Th: 0.0407 0.2320 0.5482 [2 per cell]

Most intense lines, 10° ≤ 2θ ≤ 90°, low angle first:
two_theta, I_rel
29.01, 45
30.37, 64
31.46, 49
31.70, 100
31.92, 50
42.05, 17
42.93, 16
48.23, 20

---

# 10
Starting from DFT lattice parameters and positions (GGA-PBE), the powder XRD pattern of Nd2Dy2Th was calculated for Cu Ka.
Neutral-atom scattering factors, no anomalous dispersion.

Atomic structure:
Cell lengths 3.6122, 3.6122, 43.8758 Å; angles 90.00, 90.00, 120.00 degrees
Space group R-3m (No. 166, hexagonal axes)
Symmetry-distinct sites (fractional):
Nd: 0.0000 0.0000 0.2008 [6 per cell]
Dy: 0.0000 0.0000 0.3973 [6 per cell]
Th: 0.0000 0.0000 0.0000 [3 per cell]

Most intense lines, 10° ≤ 2θ ≤ 90°, low angle first:
two_theta, I_rel
30.33, 100
30.56, 32
35.24, 67
50.54, 25
50.83, 23
60.09, 15
60.22, 28
60.49, 13

---

# 11
Starting from DFT lattice parameters and positions (GGA-PBE), the powder XRD pattern of Nd12Dy7Th was calculated for Cu Ka.
Neutral-atom scattering factors, no anomalous dispersion.

Atomic structure:
Cell lengths 12.4792, 12.4792, 15.2338 Å; angles 90.00, 90.00, 120.00 degrees
Space group R-3 (No. 148, hexagonal axes)
Symmetry-distinct sites (fractional):
Nd: 0.0193 0.5793 0.2035 [18 per cell]
Nd: 0.0564 0.4690 0.5906 [18 per cell]
Dy: 0.0000 0.0000 0.0000 [3 per cell]
Dy: 0.0452 0.8624 0.3040 [18 per cell]
Th: 0.0000 0.0000 0.5000 [3 per cell]

Most intense lines, 10° ≤ 2θ ≤ 90°, low angle first:
two_theta, I_rel
30.42, 100
32.11, 74
33.75, 23
38.19, 15
52.94, 34
53.06, 9
56.15, 14
56.27, 10

---

# 12
Starting from DFT lattice parameters and positions (GGA-PBE), the powder XRD pattern of Nd4Dy4Th was calculated for Cu Ka.
Neutral-atom scattering factors, no anomalous dispersion.

Atomic structure:
Cell lengths 10.8106, 10.8106, 5.1309 Å; angles 90.00, 90.00, 90.00 degrees
Space group I4/mmm (No. 139)
Symmetry-distinct sites (fractional):
Nd: 0.1635 0.1635 0.0000 [8 per cell]
Dy: 0.0000 0.3330 0.5000 [8 per cell]
Th: 0.0000 0.0000 0.5000 [2 per cell]

Most intense lines, 10° ≤ 2θ ≤ 90°, low angle first:
two_theta, I_rel
30.31, 100
34.98, 17
35.22, 34
50.48, 24
50.66, 12
59.86, 15
60.19, 29
63.05, 12